Sm6Cd5: computed powder XRD pattern (Cu Kα (λ = 1.5418 Å)), based on a GGA-PBE-relaxed structure.
No peak broadening, texture or thermal motion is included.

Crystal structure
a = 8.329 Å, b = 8.329 Å, c = 7.715 Å
α = 90.00°, β = 90.00°, γ = 142.97°
Sites, in units of the cell vectors:
Sm (0.000, 0.000, 0.243)
Sm (0.000, 0.000, 0.757)
Sm (0.339, 0.661, 0.246)
Sm (0.339, 0.661, 0.754)
Sm (0.661, 0.339, 0.246)
Sm (0.661, 0.339, 0.754)
Cd (0.169, 0.831, 0.500)
Cd (0.173, 0.827, 0.000)
Cd (0.500, 0.500, 0.500)
Cd (0.827, 0.173, 0.000)
Cd (0.831, 0.169, 0.500)

Main lines, in order of falling intensity (2θ from 15° to 90°):
2θ (°)	I/Imax
33.41	100
33.89	24
34.05	23
60.33	18
48.80	17
60.54	17

***

Pr2Dy2In5: computed powder XRD pattern (Cu Kα (λ = 1.5418 Å)), based on a GGA-PBE-relaxed structure.
No peak broadening, texture or thermal motion is included.

Crystal structure
a = 9.498 Å, b = 9.498 Å, c = 9.498 Å
α = 82.17°, β = 134.84°, γ = 115.54°
Sites, in units of the cell vectors:
Pr (0.027, 0.127, 0.153)
Pr (0.027, 0.373, 0.400)
Pr (0.973, 0.627, 0.600)
Pr (0.973, 0.873, 0.847)
Dy (0.428, 0.682, 0.246)
Dy (0.436, 0.182, 0.754)
Dy (0.566, 0.066, 0.500)
Dy (0.566, 0.566, 0.000)
In (0.100, 0.246, 0.770)
In (0.100, 0.831, 0.355)
In (0.476, 0.331, 0.230)
In (0.476, 0.746, 0.645)
In (0.515, 0.071, 0.140)
In (0.515, 0.875, 0.944)
In (0.528, 0.464, 0.564)
In (0.901, 0.964, 0.436)
In (0.931, 0.375, 0.860)
In (0.931, 0.571, 0.056)

Main lines, in order of falling intensity (2θ from 15° to 90°):
2θ (°)	I/Imax
29.15	100
30.20	94
38.15	37
31.76	36
37.67	26
32.74	25